Calculated X-ray powder pattern of Tb12ErNi6 for λ = 1.5418 Å (Cu Kα), from a structure optimized by DFT (PBE).
Peak positions follow from Bragg's law for the DFT cell and can differ from measured ones.

Top 12 peaks for 10° ≤ 2θ ≤ 90°, in order of rising 2θ:
2θ = 28.6°, d = 3.122 Å, intensity 502; 2θ = 31.4°, d = 2.850 Å, intensity 330; 2θ = 34.0°, d = 2.638 Å, intensity 1000; 2θ = 36.4°, d = 2.468 Å, intensity 112; 2θ = 46.9°, d = 1.936 Å, intensity 237; 2θ = 54.2°, d = 1.693 Å, intensity 324; 2θ = 55.9°, d = 1.645 Å, intensity 156; 2θ = 57.6°, d = 1.601 Å, intensity 331; 2θ = 67.0°, d = 1.396 Å, intensity 160; 2θ = 81.6°, d = 1.180 Å, intensity 136; 2θ = 83.0°, d = 1.163 Å, intensity 174; 2θ = 84.4°, d = 1.148 Å, intensity 159

Crystal structure
a b c (Å): 8.5487 8.5487 8.5487
angles (deg): 109.47 109.47 109.47
Fractional positions:
Tb: 0.1268 0.8157 0.3111
Tb: 0.1843 0.3111 0.4954
Tb: 0.1843 0.6889 0.8732
Tb: 0.3111 0.1268 0.8157
Tb: 0.3111 0.4954 0.1843
Tb: 0.4954 0.1843 0.3111
Tb: 0.5046 0.8157 0.6889
Tb: 0.6889 0.5046 0.8157
Tb: 0.6889 0.8732 0.1843
Tb: 0.8157 0.3111 0.1268
Tb: 0.8157 0.6889 0.5046
Tb: 0.8732 0.1843 0.6889
Er: 0.0000 0.0000 0.0000
Ni: 0.1233 0.6233 0.5000
Ni: 0.3767 0.5000 0.8767
Ni: 0.5000 0.1233 0.6233
Ni: 0.5000 0.8767 0.3767
Ni: 0.6233 0.5000 0.1233
Ni: 0.8767 0.3767 0.5000